Record 1
# Y4Ta2As3N3
Simulated X-ray powder pattern, CuKα. Input: the PBE geometry in OQMD.
Neutral-atom scattering factors, no anomalous dispersion.

Cell: 6.063 6.063 13.209 Å, 103.26 103.26 60.65°
Element x y z (fractional)
Y1 0.042 0.196 0.105
Y2 0.124 0.298 0.395
Y3 0.196 0.042 0.605
Y4 0.298 0.124 0.895
Y5 0.702 0.876 0.105
Y6 0.804 0.958 0.395
Y7 0.876 0.702 0.605
Y8 0.958 0.804 0.895
Ta1 0.358 0.528 0.082
Ta2 0.472 0.642 0.418
Ta3 0.528 0.358 0.582
Ta4 0.642 0.472 0.918
As1 0.130 0.870 0.250
As2 0.293 0.418 0.752
As3 0.418 0.293 0.252
As4 0.582 0.707 0.748
As5 0.707 0.582 0.248
As6 0.870 0.130 0.750
N1 0.000 0.500 0.000
N2 0.188 0.657 0.500
N3 0.343 0.812 0.000
N4 0.500 0.000 0.500
N5 0.657 0.188 0.000
N6 0.812 0.343 0.500

Principal peaks in the range 10 to 90 degrees two-theta, in order of rising 2θ:
| 2θ/deg | I (rel.) |
| --- | --- |
| 29.46 | 265 |
| 36.18 | 514 |
| 36.42 | 1000 |
| 42.60 | 169 |
| 51.90 | 270 |
| 52.45 | 179 |


Record 2
# Zr4Ta2As3N3
Simulated X-ray powder pattern, CuKα. Input: the PBE geometry in OQMD.
Neutral-atom scattering factors, no anomalous dispersion.

Cell: 5.897 5.897 12.638 Å, 103.46 103.46 60.02°
Element x y z (fractional)
Zr1 0.032 0.200 0.099
Zr2 0.134 0.300 0.401
Zr3 0.200 0.032 0.599
Zr4 0.300 0.134 0.901
Zr5 0.700 0.866 0.099
Zr6 0.800 0.968 0.401
Zr7 0.866 0.700 0.599
Zr8 0.968 0.800 0.901
Ta1 0.364 0.529 0.087
Ta2 0.471 0.636 0.413
Ta3 0.529 0.364 0.587
Ta4 0.636 0.471 0.913
As1 0.103 0.897 0.250
As2 0.270 0.416 0.750
As3 0.416 0.270 0.250
As4 0.584 0.730 0.750
As5 0.730 0.584 0.250
As6 0.897 0.103 0.750
N1 0.000 0.500 0.000
N2 0.166 0.667 0.500
N3 0.333 0.834 0.000
N4 0.500 0.000 0.500
N5 0.667 0.166 0.000
N6 0.834 0.333 0.500

Principal peaks in the range 10 to 90 degrees two-theta, in order of rising 2θ:
| 2θ/deg | I (rel.) |
| --- | --- |
| 30.31 | 259 |
| 37.71 | 1000 |
| 44.67 | 120 |
| 53.85 | 261 |
| 67.60 | 173 |
| 72.47 | 160 |


Record 3
# Y4ZnAsN2
Simulated X-ray powder pattern, CuKα. Input: the PBE geometry in OQMD.
Neutral-atom scattering factors, no anomalous dispersion.

Cell: 3.577 3.577 14.064 Å, 90.00 90.00 120.00°
Element x y z (fractional)
Y1 0.000 0.000 0.146
Y2 0.000 0.000 0.854
Y3 0.333 0.667 0.339
Y4 0.333 0.667 0.661
Zn1 0.000 0.000 0.500
As1 0.333 0.667 0.000
N1 0.667 0.333 0.239
N2 0.667 0.333 0.761

Principal peaks in the range 10 to 90 degrees two-theta, in order of rising 2θ:
| 2θ/deg | I (rel.) |
| --- | --- |
| 28.82 | 229 |
| 34.71 | 1000 |
| 51.06 | 249 |
| 63.22 | 166 |
| 65.66 | 153 |
| 85.47 | 141 |